Entry 1:
The following is a simulated powder diffractogram of In2AsPb. It was derived from a PBE-relaxed structure, using a wavelength of 1.5418 Å.
Peak positions follow from Bragg's law for the DFT cell and can differ from measured ones.

Top 10 peaks for 2θ = 10–80°, low angle first:
2θ 28.41, I 18.3, hkl 0 0 3; 2θ 32.93, I 100.0, hkl 1 1 2; 2θ 33.80, I 25.1, hkl 0 2 0; 2θ 38.16, I 13.3, hkl 0 0 4; 2θ 42.25, I 13.5, hkl 2 0 0; 2θ 51.88, I 10.9, hkl 0 2 4; 2θ 55.17, I 12.3, hkl 2 2 0; 2θ 59.91, I 17.7, hkl 1 3 2; 2θ 69.06, I 9.2, hkl 2 2 4; 2θ 71.36, I 10.6, hkl 3 1 2

Structure:
```
data_In2AsPb
_chemical_formula_sum 'In4 As2 Pb2'
_cell_length_a 4.278
_cell_length_b 5.304
_cell_length_c 9.433
_cell_angle_alpha 90.00
_cell_angle_beta 90.00
_cell_angle_gamma 90.00
_space_group_name_H-M_alt 'C m m 2'
_space_group_IT_number 35
_space_group_name_Hall 'C 2 -2'
loop_
_atom_site_label
_atom_site_type_symbol
_atom_site_fract_x
_atom_site_fract_y
_atom_site_fract_z
In1 In 0.000 0.000 0.000
In2 In 0.000 0.500 0.262
As1 As 0.000 0.500 0.789
Pb1 Pb 0.000 0.000 0.551
```



Entry 2:
The following is a simulated powder diffractogram of InSb2As2Pd7. It was derived from a PBE-relaxed structure, using a wavelength of 1.5418 Å.
Peak positions follow from Bragg's law for the DFT cell and can differ from measured ones.

Top 10 peaks for 2θ = 10–80°, low angle first:
2θ 11.53, I 39.2, hkl 0 0 2; 2θ 29.08, I 31.0, hkl 0 0 5; 2θ 32.66, I 59.9, hkl 2 0 0; 2θ 34.24, I 36.6, hkl 2 0 -3; 2θ 36.73, I 83.0, hkl 2 0 -4; 2θ 39.99, I 52.0, hkl 2 0 3; 2θ 43.88, I 94.6, hkl 2 0 4; 2θ 46.07, I 100.0, hkl 2 2 -1; 2θ 63.47, I 33.0, hkl 2 2 -8; 2θ 67.20, I 31.6, hkl 0 4 0

Structure:
```
data_InSb2As2Pd7
_chemical_formula_sum 'In2 Sb4 As4 Pd14'
_cell_length_a 5.571
_cell_length_b 5.574
_cell_length_c 15.600
_cell_angle_alpha 90.00
_cell_angle_beta 100.22
_cell_angle_gamma 90.00
_space_group_name_H-M_alt 'C 1 2/m 1'
_space_group_IT_number 12
_space_group_name_Hall '-C 2y'
loop_
_atom_site_label
_atom_site_type_symbol
_atom_site_fract_x
_atom_site_fract_y
_atom_site_fract_z
In1 In 0.000 0.000 0.000
Sb1 Sb 0.213 0.000 0.427
As1 As 0.117 0.500 0.235
Pd1 Pd 0.000 0.500 0.000
Pd2 Pd 0.181 0.250 0.861
Pd3 Pd 0.198 0.500 0.397
```



Entry 3:
The following is a simulated powder diffractogram of InTe2As2Pd7. It was derived from a PBE-relaxed structure, using a wavelength of 1.5418 Å.
Peak positions follow from Bragg's law for the DFT cell and can differ from measured ones.

Top 10 peaks for 2θ = 10–80°, low angle first:
2θ 29.84, I 31.3, hkl 0 0 5; 2θ 32.31, I 54.1, hkl 2 0 -2; 2θ 33.97, I 32.2, hkl 2 0 -3; 2θ 36.60, I 82.3, hkl 2 0 2; 2θ 40.03, I 38.5, hkl 2 0 -5; 2θ 44.11, I 86.6, hkl 2 0 4; 2θ 45.49, I 100.0, hkl 2 2 -1; 2θ 48.70, I 30.6, hkl 0 2 6; 2θ 63.82, I 30.4, hkl 2 2 -8; 2θ 66.29, I 34.3, hkl 0 4 0

Structure:
```
data_InTe2As2Pd7
_chemical_formula_sum 'In2 Te4 As4 Pd14'
_cell_length_a 5.640
_cell_length_b 5.638
_cell_length_c 15.233
_cell_angle_alpha 90.00
_cell_angle_beta 100.61
_cell_angle_gamma 90.00
_space_group_name_H-M_alt 'C 1 2/m 1'
_space_group_IT_number 12
_space_group_name_Hall '-C 2y'
loop_
_atom_site_label
_atom_site_type_symbol
_atom_site_fract_x
_atom_site_fract_y
_atom_site_fract_z
In1 In 0.000 0.000 0.000
Te1 Te 0.208 0.000 0.418
As1 As 0.117 0.500 0.237
Pd1 Pd 0.000 0.500 0.000
Pd2 Pd 0.181 0.250 0.859
Pd3 Pd 0.199 0.500 0.401
```



Entry 4:
The following is a simulated powder diffractogram of InAsPt2. It was derived from a PBE-relaxed structure, using a wavelength of 1.5418 Å.
Peak positions follow from Bragg's law for the DFT cell and can differ from measured ones.

Top 10 peaks for 2θ = 10–80°, low angle first:
2θ 25.33, I 56.9, hkl 2 1 0; 2θ 26.06, I 35.5, hkl 0 2 0; 2θ 30.16, I 28.8, hkl 2 1 1; 2θ 30.78, I 15.7, hkl 0 2 1; 2θ 41.67, I 100.0, hkl 2 1 2; 2θ 42.14, I 47.2, hkl 0 2 2; 2θ 44.19, I 24.4, hkl 4 0 0; 2θ 45.53, I 53.5, hkl 2 3 0; 2θ 62.70, I 21.3, hkl 4 2 2; 2θ 64.11, I 16.1, hkl 0 4 2

Structure:
```
data_InAsPt2
_chemical_formula_sum 'In4 As4 Pt8'
_cell_length_a 8.199
_cell_length_b 6.839
_cell_length_c 5.506
_cell_angle_alpha 90.00
_cell_angle_beta 90.00
_cell_angle_gamma 90.00
_space_group_name_H-M_alt 'P b c m'
_space_group_IT_number 57
_space_group_name_Hall '-P 2c 2b'
loop_
_atom_site_label
_atom_site_type_symbol
_atom_site_fract_x
_atom_site_fract_y
_atom_site_fract_z
In1 In 0.113 0.102 0.250
As1 As 0.378 0.574 0.250
Pt1 Pt 0.157 0.750 0.000
Pt2 Pt 0.388 0.250 0.000
```



Entry 5:
The following is a simulated powder diffractogram of RbIn2As2. It was derived from a PBE-relaxed structure, using a wavelength of 1.5418 Å.
Peak positions follow from Bragg's law for the DFT cell and can differ from measured ones.

Top 10 peaks for 2θ = 10–80°, low angle first:
2θ 14.37, I 42.5, hkl 1 -1 0; 2θ 23.56, I 48.4, hkl 0 1 -2; 2θ 24.58, I 100.0, hkl 2 -1 0; 2θ 25.90, I 47.3, hkl 1 1 0; 2θ 26.75, I 39.7, hkl 0 2 -1; 2θ 31.25, I 61.4, hkl 2 0 -2; 2θ 32.13, I 43.0, hkl -1 1 2; 2θ 33.58, I 52.0, hkl -2 2 1; 2θ 37.11, I 73.7, hkl 2 -2 2; 2θ 44.05, I 41.3, hkl 3 -3 0

Structure:
```
data_RbIn2As2
_chemical_formula_sum 'Rb2 In4 As4'
_cell_length_a 7.354
_cell_length_b 7.370
_cell_length_c 7.699
_cell_angle_alpha 110.90
_cell_angle_beta 99.56
_cell_angle_gamma 115.12
_space_group_name_H-M_alt 'P -1'
_space_group_IT_number 2
_space_group_name_Hall '-P 1'
loop_
_atom_site_label
_atom_site_type_symbol
_atom_site_fract_x
_atom_site_fract_y
_atom_site_fract_z
Rb1 Rb 0.128 0.245 0.376
In1 In 0.231 0.468 0.978
In2 In 0.473 0.949 0.717
As1 As 0.172 0.719 0.309
As2 As 0.402 0.213 0.034
```



Entry 6:
The following is a simulated powder diffractogram of Rb3In2As2. It was derived from a PBE-relaxed structure, using a wavelength of 1.5418 Å.
Peak positions follow from Bragg's law for the DFT cell and can differ from measured ones.

Top 10 peaks for 2θ = 10–80°, low angle first:
2θ 16.04, I 28.6, hkl 0 1 1; 2θ 26.26, I 60.0, hkl 0 1 5; 2θ 26.94, I 100.0, hkl 1 1 2; 2θ 31.25, I 46.0, hkl 0 2 0; 2θ 36.17, I 42.8, hkl 1 0 7; 2θ 36.31, I 26.3, hkl 1 1 6; 2θ 41.08, I 21.5, hkl 2 0 0; 2θ 48.53, I 36.3, hkl 1 2 7; 2θ 49.41, I 20.5, hkl 2 1 5; 2θ 52.50, I 20.6, hkl 2 2 0

Structure:
```
data_Rb3In2As2
_chemical_formula_sum 'Rb6 In4 As4'
_cell_length_a 4.394
_cell_length_b 5.725
_cell_length_c 21.075
_cell_angle_alpha 90.00
_cell_angle_beta 90.00
_cell_angle_gamma 90.00
_space_group_name_H-M_alt 'I m m m'
_space_group_IT_number 71
_space_group_name_Hall '-I 2 2'
loop_
_atom_site_label
_atom_site_type_symbol
_atom_site_fract_x
_atom_site_fract_y
_atom_site_fract_z
Rb1 Rb 0.000 0.000 0.000
Rb2 Rb 0.000 0.500 0.312
In1 In 0.000 0.000 0.433
As1 As 0.000 0.500 0.139
```



Entry 7:
The following is a simulated powder diffractogram of Rb3InAs. It was derived from a PBE-relaxed structure, using a wavelength of 1.5418 Å.
Peak positions follow from Bragg's law for the DFT cell and can differ from measured ones.

Top 10 peaks for 2θ = 10–80°, low angle first:
2θ 12.94, I 26.9, hkl 0 1 1; 2θ 15.82, I 22.5, hkl 2 0 0; 2θ 24.12, I 59.5, hkl 2 0 2; 2θ 24.50, I 100.0, hkl 2 2 0; 2θ 25.62, I 30.7, hkl 3 1 0; 2θ 26.04, I 43.5, hkl 0 2 2; 2θ 28.86, I 34.7, hkl 0 1 3; 2θ 31.96, I 30.1, hkl 4 0 0; 2θ 33.08, I 21.8, hkl 2 1 3; 2θ 33.64, I 19.5, hkl 2 3 1

Structure:
```
data_Rb3InAs
_chemical_formula_sum 'Rb12 In4 As4'
_cell_length_a 11.200
_cell_length_b 9.552
_cell_length_c 9.810
_cell_angle_alpha 90.00
_cell_angle_beta 90.00
_cell_angle_gamma 90.00
_space_group_name_H-M_alt 'I m a 2'
_space_group_IT_number 46
_space_group_name_Hall 'I 2 -2a'
loop_
_atom_site_label
_atom_site_type_symbol
_atom_site_fract_x
_atom_site_fract_y
_atom_site_fract_z
Rb1 Rb 0.043 0.210 0.000
Rb2 Rb 0.250 0.592 0.194
In1 In 0.250 0.012 0.296
As1 As 0.250 0.570 0.547
```



Entry 8:
The following is a simulated powder diffractogram of InReAs4. It was derived from a PBE-relaxed structure, using a wavelength of 1.5418 Å.
Peak positions follow from Bragg's law for the DFT cell and can differ from measured ones.

Top 10 peaks for 2θ = 10–80°, low angle first:
2θ 19.73, I 6.7, hkl 1 1 1; 2θ 22.82, I 2.9, hkl 2 0 0; 2θ 32.49, I 51.4, hkl 2 2 0; 2θ 38.30, I 100.0, hkl 3 1 1; 2θ 40.08, I 21.4, hkl 2 2 2; 2θ 51.08, I 1.9, hkl 3 3 1; 2θ 57.97, I 19.6, hkl 4 2 2; 2θ 61.86, I 32.4, hkl 5 1 1; 2θ 68.05, I 24.6, hkl 4 4 0; 2θ 77.45, I 8.4, hkl 6 2 0

Structure:
```
data_InReAs4
_chemical_formula_sum 'In4 Re4 As16'
_cell_length_a 7.794
_cell_length_b 7.794
_cell_length_c 7.794
_cell_angle_alpha 90.00
_cell_angle_beta 90.00
_cell_angle_gamma 90.00
_space_group_name_H-M_alt 'F -4 3 m'
_space_group_IT_number 216
_space_group_name_Hall 'F -4 2 3'
loop_
_atom_site_label
_atom_site_type_symbol
_atom_site_fract_x
_atom_site_fract_y
_atom_site_fract_z
In1 In 0.000 0.000 0.000
Re1 Re 0.250 0.250 0.750
As1 As 0.125 0.125 0.375
```



Entry 9:
The following is a simulated powder diffractogram of In2AsRh2. It was derived from a PBE-relaxed structure, using a wavelength of 1.5418 Å.
Peak positions follow from Bragg's law for the DFT cell and can differ from measured ones.

Top 10 peaks for 2θ = 10–80°, low angle first:
2θ 16.52, I 11.1, hkl 1 1 0; 2θ 37.48, I 50.3, hkl 3 1 0; 2θ 38.86, I 100.0, hkl 2 1 1; 2θ 47.95, I 9.3, hkl 4 0 0; 2θ 51.06, I 9.8, hkl 3 3 0; 2θ 52.15, I 6.5, hkl 3 2 1; 2θ 57.93, I 11.1, hkl 4 1 1; 2θ 58.16, I 8.7, hkl 0 0 2; 2θ 71.27, I 14.6, hkl 3 1 2; 2θ 73.54, I 22.2, hkl 5 2 1

Structure:
```
data_In2AsRh2
_chemical_formula_sum 'In4 As2 Rh4'
_cell_length_a 7.589
_cell_length_b 7.589
_cell_length_c 3.172
_cell_angle_alpha 90.00
_cell_angle_beta 90.00
_cell_angle_gamma 90.00
_space_group_name_H-M_alt 'P 4/m b m'
_space_group_IT_number 127
_space_group_name_Hall '-P 4 2ab'
loop_
_atom_site_label
_atom_site_type_symbol
_atom_site_fract_x
_atom_site_fract_y
_atom_site_fract_z
In1 In 0.153 0.347 0.000
As1 As 0.000 0.000 0.500
Rh1 Rh 0.146 0.646 0.500
```



Entry 10:
The following is a simulated powder diffractogram of Ti2InAsRu. It was derived from a PBE-relaxed structure, using a wavelength of 1.5418 Å.
Peak positions follow from Bragg's law for the DFT cell and can differ from measured ones.

Top 10 peaks for 2θ = 10–80°, low angle first:
2θ 19.02, I 81.6, hkl 1 0 0; 2θ 27.02, I 68.8, hkl 1 1 0; 2θ 32.37, I 73.7, hkl 1 1 1; 2θ 35.41, I 63.8, hkl 0 0 2; 2θ 38.58, I 100.0, hkl 2 0 0; 2θ 40.50, I 23.1, hkl 1 0 2; 2θ 45.10, I 34.9, hkl 1 1 2; 2θ 53.36, I 75.1, hkl 2 0 2; 2θ 55.71, I 32.8, hkl 2 2 0; 2θ 67.76, I 35.5, hkl 2 2 2

Structure:
```
data_Ti2InAsRu
_chemical_formula_sum 'Ti2 In1 As1 Ru1'
_cell_length_a 4.667
_cell_length_b 4.667
_cell_length_c 5.070
_cell_angle_alpha 90.00
_cell_angle_beta 90.00
_cell_angle_gamma 90.00
_space_group_name_H-M_alt 'P 4/m m m'
_space_group_IT_number 123
_space_group_name_Hall '-P 4 2'
loop_
_atom_site_label
_atom_site_type_symbol
_atom_site_fract_x
_atom_site_fract_y
_atom_site_fract_z
Ti1 Ti 0.000 0.500 0.000
In1 In 0.000 0.000 0.500
As1 As 0.500 0.500 0.500
Ru1 Ru 0.000 0.000 0.000
```



Entry 11:
The following is a simulated powder diffractogram of In5As3S3. It was derived from a PBE-relaxed structure, using a wavelength of 1.5418 Å.
Peak positions follow from Bragg's law for the DFT cell and can differ from measured ones.

Top 10 peaks for 2θ = 10–80°, low angle first:
2θ 20.24, I 7.8, hkl 0 2 1; 2θ 25.66, I 100.0, hkl 1 0 1; 2θ 42.40, I 45.8, hkl 1 3 2; 2θ 42.77, I 22.1, hkl 2 0 0; 2θ 49.89, I 14.9, hkl 0 3 3; 2θ 50.54, I 28.1, hkl 2 3 1; 2θ 62.08, I 6.6, hkl 2 6 0; 2θ 67.76, I 10.9, hkl 2 3 3; 2θ 77.30, I 6.8, hkl 2 0 4; 2θ 78.02, I 7.3, hkl 3 3 2

Structure:
```
data_In5As3S3
_chemical_formula_sum 'In5 As3 S3'
_cell_length_a 4.232
_cell_length_b 12.675
_cell_length_c 6.081
_cell_angle_alpha 90.00
_cell_angle_beta 90.00
_cell_angle_gamma 90.00
_space_group_name_H-M_alt 'P m m 2'
_space_group_IT_number 25
_space_group_name_Hall 'P 2 -2'
loop_
_atom_site_label
_atom_site_type_symbol
_atom_site_fract_x
_atom_site_fract_y
_atom_site_fract_z
In1 In 0.000 0.000 0.000
In2 In 0.000 0.346 0.029
In3 In 0.500 0.175 0.505
As1 As 0.000 0.177 0.766
As2 As 0.500 0.000 0.262
S1 S 0.000 0.500 0.793
S2 S 0.500 0.341 0.274
```



Entry 12:
The following is a simulated powder diffractogram of Sr2InSbAs. It was derived from a PBE-relaxed structure, using a wavelength of 1.5418 Å.
Peak positions follow from Bragg's law for the DFT cell and can differ from measured ones.

Top 10 peaks for 2θ = 10–80°, low angle first:
2θ 22.45, I 27.6, hkl 2 0 0; 2θ 27.44, I 56.3, hkl 1 1 -2; 2θ 27.83, I 100.0, hkl 0 1 2; 2θ 29.20, I 22.4, hkl 2 1 -1; 2θ 32.50, I 39.0, hkl 1 1 2; 2θ 33.98, I 47.2, hkl 3 0 0; 2θ 36.89, I 19.0, hkl 1 0 -4; 2θ 38.73, I 64.5, hkl 3 1 -2; 2θ 40.14, I 22.2, hkl 2 1 2; 2θ 40.29, I 38.1, hkl 0 2 0

Structure:
```
data_Sr2InSbAs
_chemical_formula_sum 'Sr4 In2 Sb2 As2'
_cell_length_a 8.416
_cell_length_b 4.477
_cell_length_c 9.760
_cell_angle_alpha 90.00
_cell_angle_beta 109.73
_cell_angle_gamma 90.00
_space_group_name_H-M_alt 'P 1 21/m 1'
_space_group_IT_number 11
_space_group_name_Hall '-P 2yb'
loop_
_atom_site_label
_atom_site_type_symbol
_atom_site_fract_x
_atom_site_fract_y
_atom_site_fract_z
Sr1 Sr 0.181 0.250 0.458
Sr2 Sr 0.192 0.250 0.909
In1 In 0.484 0.250 0.315
Sb1 Sb 0.245 0.750 0.191
As1 As 0.204 0.750 0.693
```